1.
Diffraction record for La6In2Ag. The X-ray diffraction stick pattern is simulated, not measured: it uses a cell relaxed with PBE and λ = 1.5418 Å (Cu Kα).

Cell and atoms:
```
data_La6In2Ag
_symmetry_space_group_name_H-M 'P 1'
_symmetry_Int_Tables_number 1
_symmetry_space_group_name_Hall 'P 1'
_cell_length_a 9.9058
_cell_length_b 10.1453
_cell_length_c 5.5822
_cell_angle_alpha 90.00
_cell_angle_beta 90.00
_cell_angle_gamma 90.00
loop_
_atom_site_label
_atom_site_fract_x
_atom_site_fract_y
_atom_site_fract_z
La1 0.0071 0.1798 0.0000
La2 0.1512 0.6003 0.5000
La3 0.1747 0.9109 0.5000
La4 0.3253 0.4109 0.0000
La5 0.3488 0.1003 0.0000
La6 0.4929 0.6798 0.5000
La7 0.5071 0.3202 0.5000
La8 0.6512 0.8997 0.0000
La9 0.6747 0.5891 0.0000
La10 0.8253 0.0891 0.5000
La11 0.8488 0.3997 0.5000
La12 0.9929 0.8202 0.0000
In1 0.1735 0.2546 0.5000
In2 0.3265 0.7546 0.0000
In3 0.6735 0.2454 0.0000
In4 0.8265 0.7454 0.5000
Ag1 0.0000 0.5000 0.0000
Ag2 0.5000 0.0000 0.5000
```

Peak list (6 most intense, 5° ≤ 2θ ≤ 70°, in order of rising 2θ)
2θ/deg  intensity
30.92  16.4
31.48  100.0
32.06  81.0
32.24  61.5
45.97  23.2
56.79  18.8

=====

2.
Diffraction record for V5Cr2Ge4. The X-ray diffraction stick pattern is simulated, not measured: it uses a cell relaxed with PBE and λ = 1.5418 Å (Cu Kα).

Cell and atoms:
```
data_V5Cr2Ge4
_symmetry_space_group_name_H-M 'P 1'
_symmetry_Int_Tables_number 1
_symmetry_space_group_name_Hall 'P 1'
_cell_length_a 9.0977
_cell_length_b 9.0977
_cell_length_c 9.0977
_cell_angle_alpha 162.10
_cell_angle_beta 130.57
_cell_angle_gamma 52.99
loop_
_atom_site_label
_atom_site_fract_x
_atom_site_fract_y
_atom_site_fract_z
V1 0.0000 0.0000 0.0000
V2 0.1071 0.3419 0.7652
V3 0.4233 0.6581 0.7652
V4 0.5767 0.3419 0.2348
V5 0.8929 0.6581 0.2348
Cr1 0.1191 0.6191 0.5000
Cr2 0.8809 0.3809 0.5000
Ge1 0.2687 0.7687 0.5000
Ge2 0.3082 0.5000 0.8082
Ge3 0.6918 0.5000 0.1918
Ge4 0.7313 0.2313 0.5000
```

Peak list (6 most intense, 5° ≤ 2θ ≤ 70°, in order of rising 2θ)
2θ/deg  intensity
32.09  86.0
35.59  96.7
35.83  76.5
40.85  88.2
48.89  100.0
50.80  60.1

=====

3.
Diffraction record for AlNi3H. The X-ray diffraction stick pattern is simulated, not measured: it uses a cell relaxed with PBE and λ = 1.5418 Å (Cu Kα).

Cell and atoms:
```
data_AlNi3H
_symmetry_space_group_name_H-M 'P 1'
_symmetry_Int_Tables_number 1
_symmetry_space_group_name_Hall 'P 1'
_cell_length_a 6.4829
_cell_length_b 4.5337
_cell_length_c 6.6486
_cell_angle_alpha 90.00
_cell_angle_beta 101.17
_cell_angle_gamma 90.00
loop_
_atom_site_label
_atom_site_fract_x
_atom_site_fract_y
_atom_site_fract_z
Al1 0.0803 0.1005 0.1924
Al2 0.0803 0.3995 0.6924
Al3 0.9197 0.6005 0.3076
Al4 0.9197 0.8995 0.8076
Ni1 0.1786 0.5968 0.0634
Ni2 0.1786 0.9032 0.5634
Ni3 0.3029 0.0802 0.9335
Ni4 0.3029 0.4198 0.4335
Ni5 0.4403 0.5880 0.8128
Ni6 0.4403 0.9120 0.3128
Ni7 0.5597 0.0880 0.6872
Ni8 0.5597 0.4120 0.1872
Ni9 0.6971 0.5802 0.5665
Ni10 0.6971 0.9198 0.0665
Ni11 0.8214 0.0968 0.4366
Ni12 0.8214 0.4032 0.9366
H1 0.4372 0.7390 0.0682
H2 0.4372 0.7610 0.5682
H3 0.5628 0.2390 0.4318
H4 0.5628 0.2610 0.9318
```

Peak list (6 most intense, 5° ≤ 2θ ≤ 70°, in order of rising 2θ)
2θ/deg  intensity
13.92  24.2
40.77  48.0
43.42  69.5
45.55  100.0
46.00  85.7
46.92  78.5

=====

4.
Diffraction record for Li8In3Hg2. The X-ray diffraction stick pattern is simulated, not measured: it uses a cell relaxed with PBE and λ = 1.5418 Å (Cu Kα).

Cell and atoms:
```
data_Li8In3Hg2
_symmetry_space_group_name_H-M 'P 1'
_symmetry_Int_Tables_number 1
_symmetry_space_group_name_Hall 'P 1'
_cell_length_a 7.2477
_cell_length_b 4.6520
_cell_length_c 8.1283
_cell_angle_alpha 90.00
_cell_angle_beta 110.68
_cell_angle_gamma 90.00
loop_
_atom_site_label
_atom_site_fract_x
_atom_site_fract_y
_atom_site_fract_z
Li1 0.0608 0.0000 0.3471
Li2 0.0960 0.5000 0.8640
Li3 0.3630 0.5000 0.2626
Li4 0.3739 0.0000 0.8050
Li5 0.6261 0.0000 0.1950
Li6 0.6370 0.5000 0.7374
Li7 0.9040 0.5000 0.1360
Li8 0.9392 0.0000 0.6529
In1 0.2171 0.5000 0.5664
In2 0.5000 0.0000 0.5000
In3 0.7829 0.5000 0.4336
Hg1 0.2168 0.0000 0.0713
Hg2 0.7832 0.0000 0.9287
```

Peak list (6 most intense, 5° ≤ 2θ ≤ 70°, in order of rising 2θ)
2θ/deg  intensity
22.41  100.0
23.40  38.5
23.80  66.9
31.39  38.2
37.95  55.5
38.47  79.9

=====

5.
Diffraction record for Ca2La5Nd2. The X-ray diffraction stick pattern is simulated, not measured: it uses a cell relaxed with PBE and λ = 1.5418 Å (Cu Kα).

Cell and atoms:
```
data_Ca2La5Nd2
_symmetry_space_group_name_H-M 'P 1'
_symmetry_Int_Tables_number 1
_symmetry_space_group_name_Hall 'P 1'
_cell_length_a 11.7044
_cell_length_b 11.7044
_cell_length_c 8.4237
_cell_angle_alpha 97.14
_cell_angle_beta 97.14
_cell_angle_gamma 17.78
loop_
_atom_site_label
_atom_site_fract_x
_atom_site_fract_y
_atom_site_fract_z
Ca1 0.1829 0.1829 0.1220
Ca2 0.8171 0.8171 0.8780
La1 0.0000 0.0000 0.0000
La2 0.0884 0.0884 0.7265
La3 0.3092 0.3092 0.4562
La4 0.6908 0.6908 0.5438
La5 0.9116 0.9116 0.2735
Nd1 0.4464 0.4464 0.6513
Nd2 0.5536 0.5536 0.3487
```

Peak list (6 most intense, 5° ≤ 2θ ≤ 70°, in order of rising 2θ)
2θ/deg  intensity
7.71  94.2
10.59  72.0
28.78  68.2
31.68  61.0
33.90  94.2
34.11  100.0

=====

6.
Diffraction record for K2MnSnCl6. The X-ray diffraction stick pattern is simulated, not measured: it uses a cell relaxed with PBE and λ = 1.5418 Å (Cu Kα).

Cell and atoms:
```
data_K2MnSnCl6
_symmetry_space_group_name_H-M 'P 1'
_symmetry_Int_Tables_number 1
_symmetry_space_group_name_Hall 'P 1'
_cell_length_a 7.3355
_cell_length_b 7.3537
_cell_length_c 7.4007
_cell_angle_alpha 119.31
_cell_angle_beta 90.36
_cell_angle_gamma 119.17
loop_
_atom_site_label
_atom_site_fract_x
_atom_site_fract_y
_atom_site_fract_z
K1 0.2413 0.0068 0.2715
K2 0.7587 0.9932 0.7285
Mn1 0.0000 0.5000 0.5000
Sn1 0.5000 0.5000 0.0000
Cl1 0.1948 0.9740 0.6940
Cl2 0.2088 0.5705 0.8287
Cl3 0.3020 0.5093 0.3306
Cl4 0.6980 0.4907 0.6694
Cl5 0.7912 0.4295 0.1713
Cl6 0.8052 0.0260 0.3060
```

Peak list (6 most intense, 5° ≤ 2θ ≤ 70°, in order of rising 2θ)
2θ/deg  intensity
16.72  76.8
16.97  63.9
23.92  65.2
24.24  100.0
33.82  99.2
34.32  76.2

=====

Q: Number 1 is which compound?
A: La6In2Ag

=====

Q: What is the formula in the second record?
A: V5Cr2Ge4